No. 1
Starting from a DFT-relaxed cell (PBE, Alexandria), the powder diffraction line list of Pm7Y3Tm was computed for Cu Kα X-rays.

Crystal structure
Lattice parameters (Å, degrees): 19.212 7.199 12.569 90.00 116.08 90.00
Space group C2/c (No. 15)
Unique sites:
1 Pm 0.000 0.217 0.250 x4
2 Pm 0.160 0.497 0.776 x8
3 Pm 0.167 0.246 0.028 x8
4 Pm 0.168 0.249 0.529 x8
5 Y 0.000 0.500 0.000 x4
6 Y 0.169 0.000 0.274 x8
7 Tm 0.000 0.000 0.000 x4

Main lines, sorted by position (10° ≤ 2θ ≤ 90°):
Position (°2θ), I (rel.), (hkl)
28.78, 20, 2 2 -2
29.43, 21, 0 2 2
31.10, 53, 6 0 0
31.76, 100, 0 0 4
33.30, 31, 6 0 -4
33.54, 55, 2 2 2
37.65, 15, 6 2 -2
50.40, 26, 4 2 -6
54.63, 22, 6 0 4
60.32, 15, 10 2 -6
60.54, 20, 2 2 6
60.70, 14, 6 4 0

---

No. 2
Starting from a DFT-relaxed cell (PBE, Alexandria), the powder diffraction line list of LaTmOs was computed for Cu Kα X-rays.

Crystal structure
Lattice parameters (Å, degrees): 6.563 13.443 7.240 90.00 90.00 90.00
Space group Cmce (No. 64)
Unique sites:
1 La 0.000 0.199 0.111 x8
2 Tm 0.250 0.031 0.750 x8
3 Os 0.000 0.111 0.457 x8

Main lines, sorted by position (10° ≤ 2θ ≤ 90°):
Position (°2θ), I (rel.), (hkl)
19.41, 56, 1 1 1
29.30, 32, 0 4 1
30.31, 47, 2 2 0
32.79, 39, 2 2 1
34.66, 31, 1 3 2
36.48, 37, 0 4 2
36.98, 63, 2 0 2
38.28, 100, 1 5 1
39.41, 23, 2 2 2
39.68, 30, 0 2 3
55.63, 24, 3 5 1
56.03, 32, 4 0 0

---

No. 3
Starting from a DFT-relaxed cell (PBE, Alexandria), the powder diffraction line list of Hf5Tc6Sn was computed for Cu Kα X-rays.

Crystal structure
Lattice parameters (Å, degrees): 4.600 6.564 13.799 90.00 90.00 90.00
Space group Immm (No. 71)
Unique sites:
1 Hf 0.000 0.000 0.000 x2
2 Hf 0.000 0.000 0.338 x4
3 Hf 0.000 0.500 0.331 x4
4 Tc 0.000 0.248 0.167 x8
5 Tc 0.000 0.258 0.500 x4
6 Sn 0.000 0.500 0.000 x2

Main lines, sorted by position (10° ≤ 2θ ≤ 90°):
Position (°2θ), I (rel.), (hkl)
27.17, 4, 0 2 0
27.42, 7, 1 0 3
38.99, 100, 1 2 3
39.17, 49, 2 0 0
48.32, 3, 2 2 0
56.04, 9, 0 4 0
56.60, 17, 2 0 6
63.50, 2, 1 4 3
70.50, 17, 2 4 0
70.86, 34, 3 2 3
83.73, 11, 2 4 6
84.20, 5, 4 0 0

---

No. 4
Starting from a DFT-relaxed cell (PBE, Alexandria), the powder diffraction line list of CaBeGa2Ru2 was computed for Cu Kα X-rays.

Crystal structure
Lattice parameters (Å, degrees): 4.339 4.339 5.440 90.00 90.00 90.00
Space group P4/mmm (No. 123)
Unique sites:
1 Ca 0.000 0.000 0.000 x1
2 Be 0.000 0.000 0.500 x1
3 Ga 0.500 0.500 0.248 x2
4 Ru 0.000 0.500 0.500 x2

Main lines, sorted by position (10° ≤ 2θ ≤ 90°):
Position (°2θ), I (rel.), (hkl)
16.29, 71, 0 0 1
20.47, 26, 1 0 0
33.53, 100, 1 1 1
39.08, 41, 1 0 2
41.63, 73, 2 0 0
44.51, 70, 1 1 2
44.98, 21, 2 0 1
58.42, 24, 2 1 2
60.33, 24, 2 2 0
70.82, 21, 3 1 1
77.99, 26, 3 1 2
83.98, 18, 2 0 4